Computed powder diffraction line list
Compound: NpFeCoGe2
Radiation: Cu Ka
Structure: the PBE geometry in Alexandria
Peak positions follow from Bragg's law for the DFT cell and can differ from measured ones.

Atomic structure:
```
NpFeCoGe2
1.0
3.985 0.000 0.000
0.000 3.985 0.000
0.000 0.000 10.043
Np Fe Co Ge
2 2 2 4
Cartesian
0.000 0.000 0.000 Np
1.992 1.992 5.021 Np
0.000 1.992 7.532 Fe
1.992 0.000 2.511 Fe
0.000 1.992 2.511 Co
1.992 0.000 7.532 Co
0.000 0.000 3.728 Ge
0.000 0.000 6.315 Ge
1.992 1.992 1.294 Ge
1.992 1.992 8.749 Ge
```

The 8 most intense peaks (2θ from 5° to 70°), in order of rising 2θ:
index  two_theta  I_rel
1 0 1  24.0  34
1 1 0  31.8  37
1 0 3  35.0  100
1 1 2  36.6  89
2 0 0  45.5  51
1 0 5  50.9  31
2 1 3  58.7  46
1 1 6  64.8  19


Computed powder diffraction line list
Compound: TlBiCl3
Radiation: Cu Ka
Structure: the PBE geometry in Alexandria
Peak positions follow from Bragg's law for the DFT cell and can differ from measured ones.

Atomic structure:
```
TlBiCl3
1.0
8.932 0.000 0.000
0.000 3.726 0.000
-3.147 0.000 10.419
Tl Bi Cl
2 2 6
Cartesian
1.389 0.000 1.774 Tl
4.395 0.000 8.646 Tl
-0.484 1.856 7.072 Bi
6.269 1.856 3.347 Bi
-1.614 1.858 9.483 Cl
0.028 1.856 4.286 Cl
2.038 1.859 7.851 Cl
3.747 1.859 2.568 Cl
5.757 1.856 6.133 Cl
7.399 1.858 0.936 Cl
```

The 8 most intense peaks (2θ from 5° to 70°), in order of rising 2θ:
index  two_theta  I_rel
1 0 0  10.3  47
0 0 2  17.0  52
1 0 -2  17.2  51
2 0 0  20.8  51
1 1 -1  26.5  100
1 0 -4  32.9  50
2 1 1  34.6  52
0 1 3  35.3  48


Computed powder diffraction line list
Compound: ThRhBr
Radiation: Cu Ka
Structure: the PBE geometry in Alexandria
Peak positions follow from Bragg's law for the DFT cell and can differ from measured ones.

Atomic structure:
```
ThRhBr
1.0
3.663 0.000 0.000
0.001 4.069 0.000
1.753 0.042 11.756
Th Rh Br
2 2 2
Cartesian
0.878 1.038 3.989 Th
4.539 3.072 7.767 Th
2.705 1.038 6.794 Rh
2.712 3.072 4.962 Rh
2.708 3.063 10.109 Br
2.709 1.048 1.647 Br
```

The 8 most intense peaks (2θ from 5° to 70°), in order of rising 2θ:
index  two_theta  I_rel
0 0 1  7.5  100
0 1 1  23.1  27
1 0 3  31.0  13
1 1 -1  34.8  23
1 -1 2  34.9  24
-1 1 2  38.1  15
1 1 3  38.3  13
0 2 0  44.6  18


Computed powder diffraction line list
Compound: Mg8ZnPd2
Radiation: Cu Ka
Structure: the PBE geometry in Alexandria
Peak positions follow from Bragg's law for the DFT cell and can differ from measured ones.

Atomic structure:
```
Mg8ZnPd2
1.0
4.568 0.000 0.000
-0.065 6.655 0.000
-2.229 -2.969 7.038
Mg Zn Pd
8 1 2
Cartesian
0.000 0.000 0.000 Mg
-0.043 3.401 0.642 Mg
0.012 -1.073 3.011 Mg
-0.019 3.451 5.051 Mg
0.012 -0.404 5.990 Mg
2.283 0.507 1.866 Mg
2.248 3.557 2.670 Mg
2.274 1.339 4.823 Mg
-0.014 1.727 2.897 Zn
2.234 4.954 0.293 Pd
2.306 -1.400 4.788 Pd
```

The 8 most intense peaks (2θ from 5° to 70°), in order of rising 2θ:
index  two_theta  I_rel
0 1 1  22.6  56
1 -1 0  23.5  45
0 1 -2  23.8  100
-1 2 1  37.8  53
1 2 0  38.0  52
0 0 3  38.4  30
1 -2 2  39.1  35
2 0 -1  39.5  92